1.
Diffraction record for Ca2HPd6. The powder X-ray diffraction pattern is simulated, not measured: it uses a PBE-relaxed structure and Cu Kα X-rays.
Lines closer than 0.1° are merged.

Atomic structure:
Unit cell a=5.8896 b=5.8896 c=8.2138 alpha=90.00 beta=90.00 gamma=90.00
Space group I4/mmm (No. 139)
Inequivalent atoms, fractional coordinates:
1 Ca 0.0000 0.5000 0.2500 x4
2 H 0.0000 0.0000 0.0000 x2
3 Pd 0.0000 0.0000 0.2512 x4
4 Pd 0.2484 0.2484 0.5000 x8

Largest 12 diffraction maxima, by angle, 2θ from 10° to 90°:
d 4.165, 2θ = 21.34°, I 7
d 4.107, 2θ = 21.64°, I 3
d 2.945, 2θ = 30.35°, I 3
d 2.924, 2θ = 30.57°, I 6
d 2.393, 2θ = 37.58°, I 100
d 2.082, 2θ = 43.46°, I 33
d 2.053, 2θ = 44.10°, I 16
d 1.472, 2θ = 63.15°, I 11
d 1.462, 2θ = 63.64°, I 21
d 1.254, 2θ = 75.87°, I 24
d 1.241, 2θ = 76.78°, I 12
d 1.197, 2θ = 80.22°, I 10

***

2.
Diffraction record for CaH4Pd4. The powder X-ray diffraction pattern is simulated, not measured: it uses a PBE-relaxed structure and Cu Kα X-rays.
Lines closer than 0.1° are merged.

Atomic structure:
Unit cell a=9.9840 b=3.9031 c=7.0615 alpha=90.00 beta=134.88 gamma=90.00
Space group C2/m (No. 12)
Inequivalent atoms, fractional coordinates:
1 Ca 0.0000 0.0000 0.0000 x2
2 H 0.1674 0.5000 0.8394 x4
3 H 0.1695 0.0000 0.5007 x4
4 Pd 0.1147 0.5000 0.4326 x4
5 Pd 0.1819 0.0000 0.7965 x4

Largest 12 diffraction maxima, by angle, 2θ from 10° to 90°:
d 4.998, 2θ = 17.75°, I 12
d 2.456, 2θ = 36.58°, I 100
d 2.235, 2θ = 40.35°, I 34
d 1.952, 2θ = 46.54°, I 12
d 1.583, 2θ = 58.30°, I 5
d 1.578, 2θ = 58.48°, I 5
d 1.470, 2θ = 63.26°, I 17
d 1.330, 2θ = 70.84°, I 10
d 1.328, 2θ = 70.97°, I 10
d 1.229, 2θ = 77.68°, I 4
d 1.227, 2θ = 77.84°, I 4
d 1.203, 2θ = 79.70°, I 10

***

3.
Diffraction record for Ca3HPd3Pt2. The powder X-ray diffraction pattern is simulated, not measured: it uses a PBE-relaxed structure and Cu Kα X-rays.
Lines closer than 0.1° are merged.

Atomic structure:
Unit cell a=6.9834 b=6.9834 c=3.9284 alpha=90.00 beta=90.00 gamma=120.00
Space group P-62m (No. 189)
Inequivalent atoms, fractional coordinates:
1 Ca 0.0000 0.3770 0.0000 x3
2 H 0.0000 0.0000 0.0000 x1
3 Pd 0.0000 0.7736 0.5000 x3
4 Pt 0.3333 0.6667 0.5000 x2

Largest 12 diffraction maxima, by angle, 2θ from 10° to 90°:
d 3.928, 2θ = 22.63°, I 74
d 3.492, 2θ = 25.51°, I 34
d 3.024, 2θ = 29.54°, I 20
d 2.610, 2θ = 34.36°, I 100
d 2.396, 2θ = 37.53°, I 41
d 2.286, 2θ = 39.42°, I 58
d 2.016, 2θ = 44.97°, I 27
d 1.976, 2θ = 45.93°, I 59
d 1.964, 2θ = 46.22°, I 23
d 1.490, 2θ = 62.33°, I 30
d 1.251, 2θ = 76.08°, I 33
d 1.095, 2θ = 89.46°, I 18

***

4.
Diffraction record for CaSbHPd2. The powder X-ray diffraction pattern is simulated, not measured: it uses a PBE-relaxed structure and Cu Kα X-rays.
Lines closer than 0.1° are merged.

Atomic structure:
Unit cell a=4.0746 b=11.5364 c=7.5607 alpha=90.00 beta=90.00 gamma=90.00
Space group Cmcm (No. 63)
Inequivalent atoms, fractional coordinates:
1 Ca 0.0000 0.0446 0.2500 x4
2 Sb 0.0000 0.2330 0.7500 x4
3 H 0.0000 0.5000 0.0000 x4
4 Pd 0.0000 0.3502 0.0534 x8

Largest 12 diffraction maxima, by angle, 2θ from 10° to 90°:
d 5.768, 2θ = 15.36°, I 100
d 4.586, 2θ = 19.36°, I 28
d 2.797, 2θ = 32.00°, I 60
d 2.695, 2θ = 33.25°, I 93
d 2.623, 2θ = 34.18°, I 76
d 2.293, 2θ = 39.29°, I 63
d 2.248, 2θ = 40.11°, I 49
d 2.107, 2θ = 42.92°, I 93
d 2.037, 2θ = 44.47°, I 46
d 1.528, 2θ = 60.60°, I 42
d 1.523, 2θ = 60.82°, I 34
d 1.189, 2θ = 80.86°, I 29

***

5.
Diffraction record for Ca2Tl2HPd4. The powder X-ray diffraction pattern is simulated, not measured: it uses a PBE-relaxed structure and Cu Kα X-rays.
Lines closer than 0.1° are merged.

Atomic structure:
Unit cell a=6.3999 b=6.3999 c=8.0554 alpha=90.00 beta=90.00 gamma=90.00
Space group I4/mmm (No. 139)
Inequivalent atoms, fractional coordinates:
1 Ca 0.0000 0.0000 0.2158 x4
2 Tl 0.0000 0.5000 0.2500 x4
3 H 0.0000 0.0000 0.5000 x2
4 Pd 0.2288 0.2288 0.5000 x8

Largest 12 diffraction maxima, by angle, 2θ from 10° to 90°:
d 4.525, 2θ = 19.62°, I 25
d 3.009, 2θ = 29.69°, I 22
d 2.505, 2θ = 35.84°, I 100
d 2.263, 2θ = 39.84°, I 37
d 2.024, 2θ = 44.78°, I 8
d 2.014, 2θ = 45.02°, I 13
d 1.808, 2θ = 50.47°, I 9
d 1.600, 2θ = 57.61°, I 12
d 1.504, 2θ = 61.66°, I 19
d 1.348, 2θ = 69.74°, I 25
d 1.253, 2θ = 75.96°, I 10
d 1.238, 2θ = 77.03°, I 9

***

6.
Diffraction record for CaZnHPd2. The powder X-ray diffraction pattern is simulated, not measured: it uses a PBE-relaxed structure and Cu Kα X-rays.
Lines closer than 0.1° are merged.

Atomic structure:
Unit cell a=3.7444 b=11.2536 c=7.5220 alpha=90.00 beta=90.00 gamma=90.00
Space group Cmcm (No. 63)
Inequivalent atoms, fractional coordinates:
1 Ca 0.0000 0.0425 0.2500 x4
2 Zn 0.0000 0.2313 0.7500 x4
3 H 0.0000 0.5000 0.0000 x4
4 Pd 0.0000 0.3466 0.0458 x8

Largest 12 diffraction maxima, by angle, 2θ from 10° to 90°:
d 5.627, 2θ = 15.75°, I 80
d 3.553, 2θ = 25.06°, I 28
d 2.650, 2θ = 33.82°, I 100
d 2.583, 2θ = 34.73°, I 97
d 2.499, 2θ = 35.93°, I 47
d 2.290, 2θ = 39.34°, I 36
d 2.253, 2θ = 40.02°, I 67
d 2.166, 2θ = 41.69°, I 71
d 2.049, 2θ = 44.21°, I 79
d 1.873, 2θ = 48.62°, I 49
d 1.678, 2θ = 54.69°, I 28
d 1.440, 2θ = 64.74°, I 31

***

7.
Diffraction record for Ca3PmH8. The powder X-ray diffraction pattern is simulated, not measured: it uses a PBE-relaxed structure and Cu Kα X-rays.
Lines closer than 0.1° are merged.

Atomic structure:
Unit cell a=5.3980 b=5.3980 c=5.3980 alpha=90.00 beta=90.00 gamma=90.00
Space group Pm-3m (No. 221)
Inequivalent atoms, fractional coordinates:
1 Ca 0.0000 0.0000 0.5000 x3
2 Pm 0.5000 0.5000 0.5000 x1
3 H 0.2510 0.2510 0.2510 x8

Largest 12 diffraction maxima, by angle, 2θ from 10° to 90°:
d 5.398, 2θ = 16.42°, I 39
d 3.817, 2θ = 23.30°, I 35
d 3.117, 2θ = 28.64°, I 100
d 2.699, 2θ = 33.19°, I 46
d 2.414, 2θ = 37.25°, I 22
d 2.204, 2θ = 40.95°, I 17
d 1.908, 2θ = 47.65°, I 37
d 1.799, 2θ = 50.74°, I 12
d 1.628, 2θ = 56.55°, I 41
d 1.238, 2θ = 77.00°, I 16
d 1.207, 2θ = 79.39°, I 14
d 1.102, 2θ = 88.80°, I 11

***

8.
Diffraction record for CaPm2H8. The powder X-ray diffraction pattern is simulated, not measured: it uses a PBE-relaxed structure and Cu Kα X-rays.
Lines closer than 0.1° are merged.

Atomic structure:
Unit cell a=3.8378 b=5.2374 c=11.4313 alpha=90.00 beta=90.00 gamma=90.00
Space group Immm (No. 71)
Inequivalent atoms, fractional coordinates:
1 Ca 0.0000 0.0000 0.0000 x2
2 Pm 0.0000 0.0000 0.3237 x4
3 H 0.0000 0.2269 0.5000 x4
4 H 0.0000 0.2695 0.1528 x8
5 H 0.0000 0.5000 0.3175 x4

Largest 12 diffraction maxima, by angle, 2θ from 10° to 90°:
d 5.716, 2θ = 15.50°, I 35
d 4.761, 2θ = 18.64°, I 19
d 3.096, 2θ = 28.84°, I 100
d 3.081, 2θ = 28.98°, I 96
d 2.722, 2θ = 32.90°, I 22
d 2.704, 2θ = 33.13°, I 66
d 2.619, 2θ = 34.24°, I 31
d 1.919, 2θ = 47.38°, I 14
d 1.881, 2θ = 48.39°, I 49
d 1.629, 2θ = 56.50°, I 29
d 1.623, 2θ = 56.74°, I 26
d 1.588, 2θ = 58.08°, I 27